Structure and calculated XRD peak list of CaAl2Ag10 (a cell relaxed with PBE; Cu Kα (λ = 1.5418 Å)).
Kinematic intensities with the Lorentz-polarization factor, no thermal factor.

Largest 8 diffraction maxima, by angle, 15° ≤ 2θ ≤ 90°:
2θ = 32.70°, I 65; 2θ = 32.97°, I 47; 2θ = 37.56°, I 84; 2θ = 37.82°, I 82; 2θ = 38.15°, I 67; 2θ = 38.25°, I 69; 2θ = 42.58°, I 62; 2θ = 42.97°, I 100

Crystal structure
```
CaAl2Ag10
1.0
0.0000 6.6493 6.8084
2.7166 0.0000 6.8084
2.7166 6.6493 0.0000
Ca Al Ag
1 2 10
Cartesian
0.0000 0.0000 0.0000 Ca
1.3583 0.0000 3.4042 Al
1.3583 6.6493 3.4042 Al
1.3583 3.3247 0.0000 Ag
2.7166 4.3894 2.4135 Ag
2.7166 5.2371 5.2789 Ag
2.7166 8.9092 2.4135 Ag
2.7166 8.0615 5.2789 Ag
1.3583 3.3247 6.8084 Ag
2.7166 5.2371 8.3379 Ag
2.7166 4.3894 11.2033 Ag
2.7166 8.0615 8.3379 Ag
2.7166 8.9092 11.2033 Ag
```